[1]
Diffraction record for Ba2InCoTe. The powder diffraction line list is calculated, not measured: it uses the PBE geometry in Alexandria and a wavelength of 1.5418 Å.
Neutral-atom scattering factors, no anomalous dispersion.

Crystal structure
Cell lengths 5.7997, 5.7997, 4.9743 Å; angles 90.00, 90.00, 90.00 degrees
Sites, in units of the cell vectors:
Ba 0.0000 0.5000 0.0000
Ba 0.5000 0.0000 0.0000
In 0.0000 0.0000 0.5000
Co 0.0000 0.0000 0.0000
Te 0.5000 0.5000 0.5000

Largest 12 diffraction maxima, by intensity, 2θ from 10° to 80°:
2theta	I_rel
28.20	100
30.83	65
48.20	37
53.23	34
44.17	24
36.11	21
58.32	21
60.20	12
77.63	11
72.95	11
75.97	9
64.24	8

=====

[2]
Diffraction record for Pm2As7Rh12. The powder diffraction line list is calculated, not measured: it uses the PBE geometry in Alexandria and a wavelength of 1.5418 Å.
Neutral-atom scattering factors, no anomalous dispersion.

Crystal structure
Cell lengths 9.9898, 9.9898, 3.9614 Å; angles 90.00, 90.00, 120.00 degrees
Sites, in units of the cell vectors:
Pm 0.3333 0.6667 0.2510
Pm 0.6667 0.3333 0.7490
As 0.0000 0.0000 0.0000
As 0.1163 0.4042 0.7492
As 0.2879 0.8837 0.7492
As 0.4042 0.2879 0.2508
As 0.5958 0.7121 0.7492
As 0.7121 0.1163 0.2508
As 0.8837 0.5958 0.2508
Rh 0.0638 0.6186 0.7502
Rh 0.1149 0.8517 0.2532
Rh 0.1483 0.2633 0.2532
Rh 0.2633 0.1149 0.7468
Rh 0.3814 0.4452 0.7502
Rh 0.4452 0.0638 0.2498
Rh 0.5548 0.9362 0.7502
Rh 0.6186 0.5548 0.2498
Rh 0.7367 0.8851 0.2532
Rh 0.8517 0.7367 0.7468
Rh 0.8851 0.1483 0.7468
Rh 0.9362 0.3814 0.2498

Largest 12 diffraction maxima, by intensity, 2θ from 10° to 80°:
2theta	I_rel
35.60	100
45.78	28
48.20	25
44.13	16
68.68	14
78.05	10
35.96	9
38.62	8
47.92	7
41.76	7
51.50	6
63.71	6